# 1
In2RePbO8: computed X-ray diffraction stick pattern (Cu Ka), based on a cell relaxed with PBE.
No peak broadening, texture or thermal motion is included.

Largest 6 diffraction maxima, in order of rising 2θ, 10° ≤ 2θ ≤ 90°:
two_theta, Rel. int.
25.35, 57
26.00, 52
32.18, 100
36.63, 29
49.18, 39
49.92, 37

```
In2RePbO8
1.0
3.427 -3.513 0.000
3.427 3.513 0.000
0.000 0.000 6.752
In Re Pb O
2 1 1 8
Direct
0.000 0.000 0.244
0.000 0.000 0.756
0.500 0.500 0.000
0.500 0.500 0.500
0.185 0.185 0.500
0.217 0.217 0.000
0.315 0.685 0.205
0.315 0.685 0.795
0.685 0.315 0.205
0.685 0.315 0.795
0.783 0.783 0.000
0.815 0.815 0.500
```

# 2
Li5PrAg2: computed X-ray diffraction stick pattern (Cu Ka), based on a cell relaxed with PBE.
No peak broadening, texture or thermal motion is included.

Largest 6 diffraction maxima, in order of rising 2θ, 10° ≤ 2θ ≤ 90°:
two_theta, Rel. int.
12.86, 54
20.11, 65
32.51, 100
38.59, 29
43.82, 36
58.08, 15

```
Li5PrAg2
1.0
3.415 0.000 0.000
0.000 8.830 0.000
0.000 0.000 10.992
Li Pr Ag
10 2 4
Direct
0.000 0.000 0.000
0.000 0.296 0.354
0.000 0.296 0.646
0.000 0.704 0.354
0.000 0.704 0.646
0.500 0.204 0.146
0.500 0.204 0.854
0.500 0.500 0.500
0.500 0.796 0.146
0.500 0.796 0.854
0.000 0.500 0.000
0.500 0.000 0.500
0.000 0.000 0.255
0.000 0.000 0.745
0.500 0.500 0.245
0.500 0.500 0.755
```

# 3
Sm6Y2Tm3: computed X-ray diffraction stick pattern (Cu Ka), based on a cell relaxed with PBE.
No peak broadening, texture or thermal motion is included.

Largest 6 diffraction maxima, in order of rising 2θ, 10° ≤ 2θ ≤ 90°:
two_theta, Rel. int.
29.46, 56
31.04, 100
31.13, 68
31.75, 88
32.71, 64
32.95, 70

```
Sm6Y2Tm3
1.0
6.093 0.000 0.000
-2.609 8.006 0.000
-2.626 -3.132 7.394
Sm Y Tm
6 2 3
Direct
0.138 0.405 0.208
0.242 0.044 0.907
0.260 0.852 0.260
0.740 0.148 0.740
0.758 0.956 0.093
0.862 0.595 0.792
0.330 0.685 0.641
0.670 0.315 0.359
0.204 0.223 0.544
0.500 0.500 0.000
0.796 0.777 0.456
```

# 4
Al2CdAg2: computed X-ray diffraction stick pattern (Cu Ka), based on a cell relaxed with PBE.
No peak broadening, texture or thermal motion is included.

Largest 6 diffraction maxima, in order of rising 2θ, 10° ≤ 2θ ≤ 90°:
two_theta, Rel. int.
36.85, 100
39.14, 19
39.73, 24
43.68, 58
61.48, 21
75.72, 20

```
Al2CdAg2
1.0
3.017 0.000 0.000
-1.508 2.612 0.000
0.000 0.000 34.034
Al Cd Ag
6 3 6
Direct
0.000 0.000 0.199
0.000 0.000 0.801
0.333 0.667 0.467
0.333 0.667 0.866
0.667 0.333 0.134
0.667 0.333 0.533
0.000 0.000 0.000
0.333 0.667 0.667
0.667 0.333 0.333
0.000 0.000 0.405
0.000 0.000 0.595
0.333 0.667 0.072
0.333 0.667 0.262
0.667 0.333 0.738
0.667 0.333 0.928
```

# 5
CrSiNi4: computed X-ray diffraction stick pattern (Cu Ka), based on a cell relaxed with PBE.
No peak broadening, texture or thermal motion is included.

Largest 6 diffraction maxima, in order of rising 2θ, 10° ≤ 2θ ≤ 90°:
two_theta, Rel. int.
23.46, 31
38.78, 16
45.82, 100
47.98, 56
75.16, 27
83.20, 25

```
CrSiNi4
1.0
0.000 3.284 3.284
3.284 0.000 3.284
3.284 3.284 0.000
Cr Si Ni
1 1 4
Direct
0.000 0.000 0.000
0.750 0.750 0.750
0.375 0.375 0.375
0.375 0.375 0.875
0.375 0.875 0.375
0.875 0.375 0.375
```

# 6
RbCe2CuS5: computed X-ray diffraction stick pattern (Cu Ka), based on a cell relaxed with PBE.
No peak broadening, texture or thermal motion is included.

Largest 6 diffraction maxima, in order of rising 2θ, 10° ≤ 2θ ≤ 90°:
two_theta, Rel. int.
12.98, 31
26.12, 27
26.39, 100
32.39, 90
36.51, 28
42.07, 42

```
RbCe2CuS5
1.0
-3.892 3.892 6.823
3.892 -3.892 6.823
3.892 3.892 -6.823
Rb Ce Cu S
2 4 2 10
Direct
0.250 0.250 0.000
0.750 0.750 0.000
0.166 0.666 0.832
0.334 0.166 0.500
0.666 0.834 0.500
0.834 0.334 0.168
0.250 0.750 0.500
0.750 0.250 0.500
0.000 0.000 0.000
0.016 0.233 0.500
0.233 0.733 0.217
0.267 0.484 0.500
0.484 0.984 0.217
0.500 0.500 0.000
0.516 0.016 0.783
0.733 0.516 0.500
0.767 0.267 0.783
0.984 0.767 0.500
```

# 7
KYMgF6: computed X-ray diffraction stick pattern (Cu Ka), based on a cell relaxed with PBE.
No peak broadening, texture or thermal motion is included.

Largest 6 diffraction maxima, in order of rising 2θ, 10° ≤ 2θ ≤ 90°:
two_theta, Rel. int.
15.12, 100
17.35, 51
28.06, 75
30.51, 48
37.68, 56
50.05, 74

```
KYMgF6
1.0
-3.575 3.785 5.112
3.575 -3.785 5.112
3.575 3.785 -5.112
K Y Mg F
2 2 2 12
Direct
0.336 0.086 0.250
0.664 0.914 0.750
0.000 0.500 0.500
0.500 0.500 0.000
0.000 0.000 0.500
0.000 0.500 0.000
0.059 0.347 0.174
0.059 0.886 0.713
0.082 0.332 0.750
0.327 0.114 0.674
0.327 0.653 0.213
0.362 0.612 0.750
0.638 0.388 0.250
0.673 0.347 0.787
0.673 0.886 0.326
0.918 0.668 0.250
0.941 0.114 0.287
0.941 0.653 0.826
```

# 8
Cs2LiEuCl6: computed X-ray diffraction stick pattern (Cu Ka), based on a cell relaxed with PBE.
No peak broadening, texture or thermal motion is included.

Largest 6 diffraction maxima, in order of rising 2θ, 10° ≤ 2θ ≤ 90°:
two_theta, Rel. int.
14.33, 34
23.50, 100
28.88, 36
33.47, 69
41.31, 47
48.07, 47

```
Cs2LiEuCl6
1.0
0.000 5.354 5.354
5.354 0.000 5.354
5.354 5.354 0.000
Cs Li Eu Cl
2 1 1 6
Direct
0.250 0.250 0.250
0.750 0.750 0.750
0.000 0.000 0.000
0.500 0.500 0.500
0.246 0.246 0.754
0.246 0.754 0.246
0.246 0.754 0.754
0.754 0.246 0.246
0.754 0.246 0.754
0.754 0.754 0.246
```